1.
# Zn3SiW
Calculated powder diffraction line list, Cu Ka. Input: the GGA-PBE geometry in Alexandria.
Peak positions follow from Bragg's law for the DFT cell and can differ from measured ones.

Largest 8 diffraction maxima, by angle, 15° ≤ 2θ ≤ 90°:
two_theta, I_rel
19.49, 13
27.70, 36
34.10, 100
39.58, 66
48.99, 16
57.21, 44
68.31, 38
71.80, 15

Crystal structure
a b c (Å): 4.5544 4.5544 4.5544
angles (deg): 90.00 90.00 90.00
Positions (direct):
Zn: 0.0000 0.0000 0.5000
Zn: 0.0000 0.5000 0.0000
Zn: 0.5000 0.0000 0.0000
Si: 0.0000 0.0000 0.0000
W: 0.5000 0.5000 0.5000

***

2.
# MgAlI
Calculated powder diffraction line list, Cu Ka. Input: the GGA-PBE geometry in Alexandria.
Peak positions follow from Bragg's law for the DFT cell and can differ from measured ones.

Largest 8 diffraction maxima, by angle, 15° ≤ 2θ ≤ 90°:
two_theta, I_rel
24.10, 50
26.80, 49
27.12, 47
27.48, 76
32.48, 100
36.35, 44
36.59, 59
40.85, 33

Crystal structure
a b c (Å): 14.7701 3.8115 3.8115
angles (deg): 60.79 90.00 90.00
Positions (direct):
Mg: 0.0000 0.0000 0.0000
Mg: 0.5000 0.1744 0.1744
Al: 0.3649 0.8378 0.8378
Al: 0.6351 0.8378 0.8378
I: 0.1286 0.3352 0.3352
I: 0.8714 0.3352 0.3352